(1)
Na2MgMn2O8: computed powder X-ray diffraction pattern (Cu Kα X-rays), based on a PBE+U-relaxed structure.
No peak broadening, texture or thermal motion is included.

Structure:
abc: 6.4541 5.5830 5.5830
angles: 66.75 90.00 90.00
Fractional positions:
Na 0.2452 0.0000 0.0000
Na 0.7548 0.0000 0.0000
Mg 0.5000 0.3489 0.3489
Mn 0.0000 0.3590 0.3590
Mn 0.5000 0.6413 0.6413
O 0.0000 0.2367 0.6762
O 0.0000 0.6762 0.2367
O 0.2195 0.2564 0.2564
O 0.2907 0.7359 0.7359
O 0.5000 0.3072 0.7282
O 0.5000 0.7282 0.3072
O 0.7093 0.7359 0.7359
O 0.7805 0.2564 0.2564

Peak list (10 most intense, 10° ≤ 2θ ≤ 90°, by intensity)
2theta, I (rel.)
32.8, 1000
22.1, 984
32.3, 755
23.5, 731
29.1, 605
57.2, 561
17.3, 454
48.2, 249
53.6, 238
35.0, 208

=====

(2)
Na2MgMn2O8: computed powder X-ray diffraction pattern (Cu Kα X-rays), based on a PBE+U-relaxed structure.
No peak broadening, texture or thermal motion is included.

Structure:
abc: 5.4847 5.4847 7.1972
angles: 92.91 92.91 68.89
Fractional positions:
Na 0.0000 0.0000 0.0000
Na 0.0000 0.0000 0.5000
Mg 0.5000 0.5000 0.0000
Mn 0.3551 0.3551 0.2724
Mn 0.6449 0.6449 0.7276
O 0.2502 0.2502 0.4447
O 0.2568 0.6811 0.2391
O 0.2596 0.2596 0.0638
O 0.3189 0.7432 0.7609
O 0.6811 0.2568 0.2391
O 0.7404 0.7404 0.9362
O 0.7432 0.3189 0.7609
O 0.7498 0.7498 0.5553

Peak list (10 most intense, 10° ≤ 2θ ≤ 90°, by intensity)
2theta, I (rel.)
21.7, 1000
23.9, 617
21.0, 560
28.8, 491
17.3, 395
30.9, 337
33.1, 252
22.6, 249
55.3, 222
57.8, 201

=====

(3)
Na2MgMn2O4: computed powder X-ray diffraction pattern (Cu Kα X-rays), based on a PBE+U-relaxed structure.
No peak broadening, texture or thermal motion is included.

Structure:
abc: 11.6900 5.5741 5.5741
angles: 30.61 90.00 90.00
Fractional positions:
Na 0.0000 0.0000 0.0000
Na 0.5000 0.4040 0.4040
Mg 0.0000 0.2713 0.2713
Mn 0.2444 0.3519 0.3519
Mn 0.7556 0.3519 0.3519
O 0.1170 0.8211 0.8211
O 0.3488 0.8801 0.8801
O 0.6512 0.8801 0.8801
O 0.8830 0.8211 0.8211

Peak list (10 most intense, 10° ≤ 2θ ≤ 90°, by intensity)
2theta, I (rel.)
16.5, 1000
44.5, 262
22.5, 197
50.9, 181
36.8, 124
35.1, 79
30.6, 78
33.3, 74
34.2, 66
55.2, 62